Diffraction record for Ag3Se. The X-ray diffraction stick pattern is computed, not measured: it uses a PBE-relaxed structure and Cu Kα X-rays.
No peak broadening, texture or thermal motion is included.

Crystal structure
Cell lengths 6.026, 6.026, 4.852 Å; angles 90.00, 90.00, 120.00 degrees
Fractional coordinates of all 8 atoms:
Ag: 0.163 0.325 0.250
Ag: 0.163 0.837 0.250
Ag: 0.325 0.163 0.750
Ag: 0.675 0.837 0.250
Ag: 0.837 0.163 0.750
Ag: 0.837 0.675 0.750
Se: 0.333 0.667 0.750
Se: 0.667 0.333 0.250

Top 12 peaks for 2θ = 10–80°, most intense first:
2θ 39.20, I = 100
2θ 37.06, I = 26
2θ 34.37, I = 24
2θ 74.08, I = 19
2θ 68.23, I = 18
2θ 61.55, I = 17
2θ 51.43, I = 15
2θ 75.45, I = 13
2θ 78.93, I = 3
2θ 72.44, I = 3
2θ 16.99, I = 2
2θ 25.06, I = 1

=====

Diffraction record for Ag2SnSe3. The X-ray diffraction stick pattern is computed, not measured: it uses a PBE-relaxed structure and Cu Kα X-rays.
No peak broadening, texture or thermal motion is included.

Crystal structure
Cell lengths 7.498, 7.498, 28.522 Å; angles 92.57, 92.57, 119.82 degrees
Fractional coordinates of all 48 atoms:
Ag: 0.015 0.520 0.250
Ag: 0.081 0.919 0.500
Ag: 0.127 0.621 0.626
Ag: 0.180 0.349 0.750
Ag: 0.349 0.180 0.250
Ag: 0.382 0.870 0.375
Ag: 0.411 0.592 0.500
Ag: 0.520 0.015 0.750
Ag: 0.557 0.722 0.876
Ag: 0.592 0.411 0.000
Ag: 0.621 0.127 0.126
Ag: 0.722 0.557 0.376
Ag: 0.787 0.967 0.625
Ag: 0.870 0.382 0.875
Ag: 0.919 0.081 0.000
Ag: 0.967 0.787 0.125
Sn: 0.059 0.209 0.379
Sn: 0.209 0.059 0.879
Sn: 0.253 0.768 0.005
Sn: 0.283 0.453 0.129
Sn: 0.453 0.283 0.629
Sn: 0.662 0.826 0.254
Sn: 0.768 0.253 0.505
Sn: 0.826 0.662 0.754
Se: 0.012 0.180 0.284
Se: 0.068 0.894 0.407
Se: 0.089 0.597 0.533
Se: 0.140 0.299 0.657
Se: 0.180 0.012 0.784
Se: 0.224 0.730 0.909
Se: 0.268 0.437 0.034
Se: 0.299 0.140 0.157
Se: 0.358 0.857 0.282
Se: 0.389 0.547 0.407
Se: 0.437 0.268 0.534
Se: 0.463 0.969 0.658
Se: 0.519 0.689 0.782
Se: 0.547 0.389 0.907
Se: 0.597 0.089 0.033
Se: 0.637 0.800 0.159
Se: 0.689 0.519 0.282
Se: 0.730 0.224 0.409
Se: 0.760 0.928 0.532
Se: 0.800 0.637 0.659
Se: 0.857 0.358 0.782
Se: 0.894 0.068 0.907
Se: 0.928 0.760 0.032
Se: 0.969 0.463 0.158

Top 12 peaks for 2θ = 10–80°, most intense first:
2θ 25.14, I = 100
2θ 41.61, I = 62
2θ 49.19, I = 23
2θ 49.31, I = 15
2θ 41.77, I = 12
2θ 75.97, I = 10
2θ 60.41, I = 8
2θ 49.37, I = 8
2θ 66.41, I = 8
2θ 66.28, I = 5
2θ 75.84, I = 4
2θ 60.22, I = 4

=====

Diffraction record for AgSnSe2. The X-ray diffraction stick pattern is computed, not measured: it uses a PBE-relaxed structure and Cu Kα X-rays.
No peak broadening, texture or thermal motion is included.

Crystal structure
Cell lengths 7.033, 7.033, 7.033 Å; angles 33.55, 33.55, 33.55 degrees
Fractional coordinates of all 4 atoms:
Ag: 0.000 0.000 0.000
Sn: 0.500 0.500 0.500
Se: 0.252 0.252 0.252
Se: 0.748 0.748 0.748

Top 8 peaks for 2θ = 10–80°, most intense first:
2θ 31.15, I = 100
2θ 44.64, I = 73
2θ 73.81, I = 33
2θ 55.44, I = 26
2θ 64.97, I = 12
2θ 26.90, I = 7
2θ 52.89, I = 3
2θ 71.64, I = 1

=====

Diffraction record for Ag8SnSe6. The X-ray diffraction stick pattern is computed, not measured: it uses a PBE-relaxed structure and Cu Kα X-rays.
No peak broadening, texture or thermal motion is included.

Crystal structure
Cell lengths 8.127, 7.945, 11.222 Å; angles 90.00, 90.00, 90.00 degrees
Fractional coordinates of all 30 atoms:
Ag: 0.000 0.123 0.000
Ag: 0.000 0.199 0.570
Ag: 0.193 0.025 0.775
Ag: 0.212 0.613 0.170
Ag: 0.226 0.669 0.900
Ag: 0.274 0.331 0.400
Ag: 0.288 0.387 0.670
Ag: 0.307 0.975 0.275
Ag: 0.500 0.801 0.070
Ag: 0.500 0.877 0.500
Ag: 0.693 0.975 0.275
Ag: 0.712 0.387 0.670
Ag: 0.726 0.331 0.400
Ag: 0.774 0.669 0.900
Ag: 0.788 0.613 0.170
Ag: 0.807 0.025 0.775
Sn: 0.000 0.747 0.520
Sn: 0.500 0.253 0.020
Se: 0.000 0.006 0.383
Se: 0.000 0.302 0.791
Se: 0.000 0.504 0.368
Se: 0.000 0.790 0.035
Se: 0.240 0.257 0.147
Se: 0.260 0.743 0.647
Se: 0.500 0.210 0.535
Se: 0.500 0.496 0.868
Se: 0.500 0.698 0.291
Se: 0.500 0.994 0.883
Se: 0.740 0.743 0.647
Se: 0.760 0.257 0.147

Top 12 peaks for 2θ = 10–80°, most intense first:
2θ 45.44, I = 100
2θ 27.09, I = 99
2θ 27.51, I = 80
2θ 40.68, I = 72
2θ 33.88, I = 66
2θ 39.01, I = 58
2θ 44.60, I = 54
2θ 41.79, I = 52
2θ 34.77, I = 51
2θ 25.88, I = 51
2θ 29.37, I = 45
2θ 41.49, I = 44

=====

Diffraction record for TbAgSe2. The X-ray diffraction stick pattern is computed, not measured: it uses a PBE-relaxed structure and Cu Kα X-rays.
No peak broadening, texture or thermal motion is included.

Crystal structure
Cell lengths 7.269, 7.269, 7.269 Å; angles 133.39, 133.39, 68.04 degrees
Fractional coordinates of all 8 atoms:
Tb: 0.000 0.000 0.000
Tb: 0.750 0.250 0.500
Ag: 0.255 0.755 0.500
Ag: 0.505 0.505 0.000
Se: 0.240 0.240 0.000
Se: 0.510 0.010 0.500
Se: 0.760 0.760 0.000
Se: 0.990 0.490 0.500

Top 12 peaks for 2θ = 10–80°, most intense first:
2θ 31.10, I = 100
2θ 43.51, I = 77
2θ 29.66, I = 55
2θ 54.44, I = 39
2θ 44.56, I = 37
2θ 26.44, I = 20
2θ 70.59, I = 16
2θ 72.90, I = 16
2θ 73.67, I = 16
2θ 79.13, I = 12
2θ 64.85, I = 12
2θ 17.08, I = 7

=====

Diffraction record for TlAgSe. The X-ray diffraction stick pattern is computed, not measured: it uses a PBE-relaxed structure and Cu Kα X-rays.
No peak broadening, texture or thermal motion is included.

Crystal structure
Cell lengths 8.475, 4.701, 7.686 Å; angles 90.00, 90.00, 90.00 degrees
Fractional coordinates of all 12 atoms:
Tl: 0.001 0.250 0.184
Tl: 0.499 0.750 0.684
Tl: 0.501 0.250 0.316
Tl: 0.999 0.750 0.816
Ag: 0.175 0.750 0.416
Ag: 0.325 0.250 0.916
Ag: 0.675 0.750 0.084
Ag: 0.825 0.250 0.584
Se: 0.185 0.250 0.600
Se: 0.315 0.750 0.100
Se: 0.685 0.250 0.900
Se: 0.815 0.750 0.400

Top 12 peaks for 2θ = 10–80°, most intense first:
2θ 30.69, I = 100
2θ 31.88, I = 73
2θ 33.80, I = 36
2θ 38.29, I = 35
2θ 31.42, I = 26
2θ 61.62, I = 25
2θ 40.08, I = 25
2θ 51.99, I = 21
2θ 48.60, I = 19
2θ 63.13, I = 17
2θ 36.64, I = 16
2θ 50.34, I = 14

=====

Diffraction record for TlAgSe2. The X-ray diffraction stick pattern is computed, not measured: it uses a PBE-relaxed structure and Cu Kα X-rays.
No peak broadening, texture or thermal motion is included.

Crystal structure
Cell lengths 10.486, 10.486, 7.431 Å; angles 90.00, 90.00, 120.00 degrees
Fractional coordinates of all 24 atoms:
Tl: 0.000 0.000 0.250
Tl: 0.000 0.000 0.750
Tl: 0.333 0.667 0.250
Tl: 0.333 0.667 0.750
Tl: 0.667 0.333 0.250
Tl: 0.667 0.333 0.750
Ag: 0.000 0.291 0.250
Ag: 0.000 0.709 0.750
Ag: 0.291 0.000 0.250
Ag: 0.291 0.291 0.750
Ag: 0.709 0.000 0.750
Ag: 0.709 0.709 0.250
Se: 0.203 0.406 0.000
Se: 0.203 0.406 0.500
Se: 0.203 0.797 0.000
Se: 0.203 0.797 0.500
Se: 0.406 0.203 0.000
Se: 0.406 0.203 0.500
Se: 0.594 0.797 0.000
Se: 0.594 0.797 0.500
Se: 0.797 0.203 0.000
Se: 0.797 0.203 0.500
Se: 0.797 0.594 0.000
Se: 0.797 0.594 0.500

Top 12 peaks for 2θ = 10–80°, most intense first:
2θ 38.36, I = 100
2θ 29.48, I = 85
2θ 16.91, I = 39
2θ 20.73, I = 31
2θ 34.20, I = 27
2θ 52.31, I = 26
2θ 69.38, I = 23
2θ 35.61, I = 21
2θ 19.55, I = 20
2θ 52.35, I = 19
2θ 58.30, I = 16
2θ 61.17, I = 15

=====

Diffraction record for YAgSe2. The X-ray diffraction stick pattern is computed, not measured: it uses a PBE-relaxed structure and Cu Kα X-rays.
No peak broadening, texture or thermal motion is included.

Crystal structure
Cell lengths 4.287, 6.856, 13.866 Å; angles 90.00, 90.00, 90.00 degrees
Fractional coordinates of all 16 atoms:
Y: 0.229 0.209 0.372
Y: 0.271 0.791 0.872
Y: 0.729 0.291 0.628
Y: 0.771 0.709 0.128
Ag: 0.002 0.204 0.124
Ag: 0.498 0.796 0.624
Ag: 0.502 0.296 0.876
Ag: 0.998 0.704 0.376
Se: 0.230 0.089 0.727
Se: 0.235 0.488 0.527
Se: 0.265 0.512 0.027
Se: 0.270 0.911 0.227
Se: 0.730 0.411 0.273
Se: 0.735 0.012 0.473
Se: 0.765 0.988 0.973
Se: 0.770 0.589 0.773

Top 12 peaks for 2θ = 10–80°, most intense first:
2θ 27.71, I = 100
2θ 36.88, I = 55
2θ 32.52, I = 23
2θ 31.31, I = 22
2θ 35.96, I = 22
2θ 44.54, I = 21
2θ 44.78, I = 20
2θ 21.70, I = 19
2θ 48.68, I = 16
2θ 45.45, I = 16
2θ 38.88, I = 15
2θ 73.06, I = 14

=====

Diffraction record for YAgSe2. The X-ray diffraction stick pattern is computed, not measured: it uses a PBE-relaxed structure and Cu Kα X-rays.
No peak broadening, texture or thermal motion is included.

Crystal structure
Cell lengths 5.719, 5.723, 7.296 Å; angles 66.96, 67.17, 89.96 degrees
Fractional coordinates of all 8 atoms:
Y: 0.000 0.000 0.000
Y: 0.257 0.749 0.498
Ag: 0.509 0.502 0.002
Ag: 0.760 0.247 0.492
Se: 0.021 0.513 0.973
Se: 0.243 0.236 0.525
Se: 0.490 0.989 0.025
Se: 0.769 0.758 0.474

Top 12 peaks for 2θ = 10–80°, most intense first:
2θ 31.27, I = 100
2θ 29.34, I = 57
2θ 43.34, I = 38
2θ 44.81, I = 36
2θ 54.37, I = 19
2θ 54.56, I = 19
2θ 43.53, I = 19
2θ 43.43, I = 19
2θ 74.11, I = 15
2θ 65.23, I = 11
2θ 73.00, I = 8
2θ 70.02, I = 8